Record 1
Computed powder diffraction line list of KBa2ScO4 for Cu Kα, 1.54184 Å, from a structure optimized by DFT (GGA-PBE).
Lines closer than 0.1° are merged.

Atomic structure:
```
KBa2ScO4
1.0
-3.6655 3.6738 5.3835
3.6655 -3.6738 5.3835
3.6655 3.6738 -5.3835
K Ba Sc O
2 4 2 8
Cartesian
-1.8327 1.8369 2.6917
1.8327 1.8369 2.6917
0.0000 0.0000 0.0000
1.8327 1.8369 -2.6917
1.8327 -1.8369 2.6917
0.0000 3.6738 0.0000
3.6655 0.0000 0.0000
0.0000 0.0000 5.3835
3.6655 -0.0520 2.0695
2.0060 1.8369 -0.0188
5.3250 1.8369 -0.0188
3.6655 3.6218 -2.0695
0.0000 0.0520 7.4530
-1.6595 1.8369 5.4023
1.6595 1.8369 5.4023
0.0000 3.7258 3.3140
```

Main lines, low angle first (2θ = 5–70°):
2θ (°), intensity
14.60, 39
27.67, 14
28.43, 18
29.46, 100
33.29, 32
34.57, 67
37.11, 14
48.75, 41
57.14, 20
58.83, 29


Record 2
Computed powder diffraction line list of YTmMg14 for Cu Kα, 1.54184 Å, from a structure optimized by DFT (GGA-PBE).
Lines closer than 0.1° are merged.

Atomic structure:
```
YTmMg14
1.0
6.9213 0.0000 0.0000
0.0000 6.9213 0.0000
0.0000 0.0000 7.9633
Y Tm Mg
1 1 14
Cartesian
0.0000 0.0000 0.0000
3.4607 3.4607 0.0000
0.0000 0.0000 3.9816
0.0000 3.4607 0.0000
0.0000 3.4607 3.9816
1.7391 1.7391 2.0751
1.7391 1.7391 5.8882
1.7391 5.1822 2.0751
1.7391 5.1822 5.8882
3.4607 0.0000 0.0000
3.4607 0.0000 3.9816
3.4607 3.4607 3.9816
5.1822 1.7391 2.0751
5.1822 1.7391 5.8882
5.1822 5.1822 2.0751
5.1822 5.1822 5.8882
```

Main lines, low angle first (2θ = 5–70°):
2θ (°), intensity
11.11, 34
18.13, 27
21.31, 37
28.11, 21
28.90, 20
34.33, 100
36.73, 44
42.87, 16
59.89, 19
64.61, 30


Record 3
Computed powder diffraction line list of LaTb8Pm3 for Cu Kα, 1.54184 Å, from a structure optimized by DFT (GGA-PBE).
Lines closer than 0.1° are merged.

Atomic structure:
```
LaTb8Pm3
1.0
-3.2214 5.7595 5.7644
3.2214 -5.7595 5.7644
3.2214 5.7595 -5.7644
La Tb Pm
1 8 3
Cartesian
0.0000 0.0000 0.0000
3.2214 3.7730 -2.8776
1.5972 2.9232 0.0000
1.6243 -2.8362 5.7644
0.0000 1.9865 2.8868
3.2214 3.7730 2.8776
1.5972 8.5957 0.0000
1.6243 2.8362 5.7644
0.0000 1.9865 8.6419
3.2214 0.0000 2.9231
0.0000 0.0000 5.7644
0.0000 5.7595 2.8412
```

Main lines, low angle first (2θ = 5–70°):
2θ (°), intensity
27.03, 20
31.03, 76
31.24, 100
31.82, 77
34.82, 23
35.53, 46
45.05, 22
51.25, 25
55.73, 33
65.17, 29


Record 4
Computed powder diffraction line list of Ac4AgPtBr2 for Cu Kα, 1.54184 Å, from a structure optimized by DFT (GGA-PBE).
Lines closer than 0.1° are merged.

Atomic structure:
```
Ac4AgPtBr2
1.0
7.8556 0.0000 0.0000
0.0000 4.5492 0.0000
-2.6862 0.0000 8.0508
Ac Ag Pt Br
4 1 1 2
Cartesian
1.2283 0.0000 1.6446
-0.2012 2.2746 6.3690
5.3705 2.2746 1.6817
3.9410 0.0000 6.4061
3.9278 0.0000 0.0000
0.0000 2.2746 0.0000
-1.3431 0.0000 4.0254
2.5847 2.2746 4.0254
```

Main lines, low angle first (2θ = 5–70°):
2θ (°), intensity
10.99, 32
23.74, 12
26.98, 48
27.09, 100
34.64, 13
37.46, 31
37.73, 16
39.69, 58
48.59, 19
64.49, 16